This entry pairs a crystal structure of Ba2LiCoO4 with its theoretical powder XRD pattern. Radiation: Cu Kα (weighted mean of Kα1 and Kα2). Structure: DFT lattice parameters and positions (GGA+U).

Principal peaks in the range 2θ = 10–90°, in order of rising 2θ:
2theta, I/Imax
19.4, 52
30.0, 45
32.9, 100
36.0, 37
40.9, 12
42.9, 27
55.1, 43
60.6, 20
84.9, 13
87.9, 12

Crystal structure
Cell: 5.9610 5.9610 7.1209 Å, 90.00 90.00 90.00°
Space group I-4 (No. 82)
One atom of each set of equivalent atoms:
Ba 0.0000 0.0000 0.0000 (multiplicity 2)
Ba 0.0000 0.5000 0.2500 (multiplicity 2)
Li 0.0000 0.0000 0.5000 (multiplicity 2)
Co 0.0000 0.5000 0.7500 (multiplicity 2)
O 0.1579 0.7367 0.6315 (multiplicity 8)